Entry 1:
Theoretical powder X-ray diffraction pattern
Compound: Sr4Al
Radiation: copper Kα
Structure: a cell relaxed with GGA-PBE
No peak broadening, texture or thermal motion is included.

Main lines, in order of rising 2θ (2θ from 5° to 70°):
2θ 23.6, I = 100; 2θ 27.4, I = 43; 2θ 35.8, I = 13; 2θ 39.1, I = 42; 2θ 46.2, I = 41; 2θ 62.1, I = 14

Crystal structure
Cell: 9.2194 9.2194 9.2194 Å, 60.00 60.00 60.00°
Fractional positions:
Sr 0.2139 0.7620 0.7620
Sr 0.2380 0.2380 0.2380
Sr 0.2380 0.2380 0.7861
Sr 0.2380 0.7861 0.2380
Sr 0.7620 0.2139 0.7620
Sr 0.7620 0.7620 0.2139
Sr 0.7620 0.7620 0.7620
Sr 0.7861 0.2380 0.2380
Al 0.3750 0.3750 0.3750
Al 0.6250 0.6250 0.6250

=====

Entry 2:
Theoretical powder X-ray diffraction pattern
Compound: Sr2Al
Radiation: copper Kα
Structure: a cell relaxed with GGA-PBE
No peak broadening, texture or thermal motion is included.

Main lines, in order of rising 2θ (2θ from 5° to 70°):
2θ 26.2, I = 45; 2θ 26.5, I = 53; 2θ 27.7, I = 50; 2θ 28.3, I = 76; 2θ 30.0, I = 100; 2θ 32.6, I = 43

Crystal structure
Cell: 8.8531 8.8531 7.5152 Å, 114.06 114.06 66.82°
Fractional positions:
Sr 0.0582 0.7574 0.8936
Sr 0.2426 0.9418 0.6064
Sr 0.3277 0.3426 0.0841
Sr 0.3426 0.3277 0.5841
Sr 0.6574 0.6723 0.4159
Sr 0.6723 0.6574 0.9159
Sr 0.7574 0.0582 0.3936
Sr 0.9418 0.2426 0.1064
Al 0.0315 0.6303 0.3468
Al 0.3697 0.9685 0.1532
Al 0.6303 0.0315 0.8468
Al 0.9685 0.3697 0.6532

=====

Entry 3:
Theoretical powder X-ray diffraction pattern
Compound: SrAl2
Radiation: copper Kα
Structure: a cell relaxed with GGA-PBE
No peak broadening, texture or thermal motion is included.

Main lines, in order of rising 2θ (2θ from 5° to 70°):
2θ 22.8, I = 73; 2θ 28.1, I = 63; 2θ 30.2, I = 100; 2θ 30.4, I = 47; 2θ 36.4, I = 84; 2θ 40.2, I = 62

Crystal structure
Cell: 4.4891 4.4891 7.8658 Å, 90.00 90.00 90.00°
Fractional positions:
Sr 0.2500 0.2500 0.1748
Sr 0.7500 0.7500 0.8252
Al 0.2500 0.2500 0.7048
Al 0.2500 0.7500 0.5000
Al 0.7500 0.2500 0.5000
Al 0.7500 0.7500 0.2952

=====

Entry 4:
Theoretical powder X-ray diffraction pattern
Compound: Sr3Al2
Radiation: copper Kα
Structure: a cell relaxed with GGA-PBE
No peak broadening, texture or thermal motion is included.

Main lines, in order of rising 2θ (2θ from 5° to 70°):
2θ 23.7, I = 44; 2θ 25.6, I = 90; 2θ 28.3, I = 100; 2θ 29.1, I = 67; 2θ 30.7, I = 34; 2θ 35.2, I = 60

Crystal structure
Cell: 13.0139 13.0139 13.0139 Å, 90.00 90.00 90.00°
Fractional positions:
Sr 0.0179 0.2251 0.9396
Sr 0.0255 0.1977 0.4335
Sr 0.0602 0.4398 0.5602
Sr 0.0604 0.5179 0.2749
Sr 0.0665 0.9745 0.6977
Sr 0.1747 0.8253 0.3253
Sr 0.1798 0.6798 0.8202
Sr 0.1977 0.4335 0.0255
Sr 0.2251 0.9396 0.0179
Sr 0.2749 0.0604 0.5179
Sr 0.3023 0.5665 0.5255
Sr 0.3202 0.3202 0.3202
Sr 0.3253 0.1747 0.8253
Sr 0.4335 0.0255 0.1977
Sr 0.4396 0.4821 0.7749
Sr 0.4398 0.5602 0.0602
Sr 0.4745 0.8023 0.9335
Sr 0.4821 0.7749 0.4396
Sr 0.5179 0.2749 0.0604
Sr 0.5255 0.3023 0.5665
Sr 0.5602 0.0602 0.4398
Sr 0.5604 0.9821 0.7251
Sr 0.5665 0.5255 0.3023
Sr 0.6747 0.6747 0.6747
Sr 0.6798 0.8202 0.1798
Sr 0.6977 0.0665 0.9745
Sr 0.7251 0.5604 0.9821
Sr 0.7749 0.4396 0.4821
Sr 0.8023 0.9335 0.4745
Sr 0.8202 0.1798 0.6798
Sr 0.8253 0.3253 0.1747
Sr 0.9335 0.4745 0.8023
Sr 0.9396 0.0179 0.2251
Sr 0.9398 0.9398 0.9398
Sr 0.9745 0.6977 0.0665
Sr 0.9821 0.7251 0.5604
Al 0.0873 0.2550 0.1901
Al 0.0924 0.2341 0.6915
Al 0.1901 0.0873 0.2550
Al 0.1915 0.4076 0.7659
Al 0.2341 0.6915 0.0924
Al 0.2450 0.8099 0.5873
Al 0.2550 0.1901 0.0873
Al 0.2659 0.3085 0.5924
Al 0.3085 0.5924 0.2659
Al 0.3099 0.9127 0.7550
Al 0.4076 0.7659 0.1915
Al 0.4127 0.7450 0.6901
Al 0.5873 0.2450 0.8099
Al 0.5924 0.2659 0.3085
Al 0.6901 0.4127 0.7450
Al 0.6915 0.0924 0.2341
Al 0.7341 0.8085 0.9076
Al 0.7450 0.6901 0.4127
Al 0.7550 0.3099 0.9127
Al 0.7659 0.1915 0.4076
Al 0.8085 0.9076 0.7341
Al 0.8099 0.5873 0.2450
Al 0.9076 0.7341 0.8085
Al 0.9127 0.7550 0.3099

=====

Entry 5:
Theoretical powder X-ray diffraction pattern
Compound: Sr5Al9
Radiation: copper Kα
Structure: a cell relaxed with GGA-PBE
No peak broadening, texture or thermal motion is included.

Main lines, in order of rising 2θ (2θ from 5° to 70°):
2θ 30.5, I = 100; 2θ 30.6, I = 46; 2θ 32.7, I = 79; 2θ 34.1, I = 40; 2θ 38.1, I = 43; 2θ 54.2, I = 36

Crystal structure
Cell: 12.3832 12.3832 12.3832 Å, 27.40 27.40 27.40°
Fractional positions:
Sr 0.0000 0.0000 0.0000
Sr 0.1831 0.1831 0.1831
Sr 0.2832 0.2832 0.2832
Sr 0.7168 0.7168 0.7168
Sr 0.8169 0.8169 0.8169
Al 0.2246 0.7364 0.7364
Al 0.2636 0.2636 0.7754
Al 0.2636 0.7754 0.2636
Al 0.3757 0.3757 0.3757
Al 0.5000 0.5000 0.5000
Al 0.6243 0.6243 0.6243
Al 0.7364 0.2246 0.7364
Al 0.7364 0.7364 0.2246
Al 0.7754 0.2636 0.2636

=====

Entry 6:
Theoretical powder X-ray diffraction pattern
Compound: SrAl2
Radiation: copper Kα
Structure: a cell relaxed with GGA-PBE
No peak broadening, texture or thermal motion is included.

Main lines, in order of rising 2θ (2θ from 5° to 70°):
2θ 18.5, I = 25; 2θ 30.5, I = 76; 2θ 35.9, I = 100; 2θ 54.2, I = 29; 2θ 57.8, I = 33; 2θ 63.5, I = 23

Crystal structure
Cell: 5.8613 5.8613 5.8613 Å, 60.00 60.00 60.00°
Fractional positions:
Sr 0.1250 0.1250 0.1250
Sr 0.8750 0.8750 0.8750
Al 0.0000 0.5000 0.5000
Al 0.5000 0.0000 0.5000
Al 0.5000 0.5000 0.0000
Al 0.5000 0.5000 0.5000

=====

Which formula does entry 6 have?
SrAl2